Starting from a structure optimized by DFT (GGA+U), the X-ray powder pattern of CaFeO3 was computed for Cu Kα, 1.54184 Å.

Top 8 peaks for 2θ = 10–90°, by angle:
2theta, intensity
23.2, 52
32.5, 49
32.8, 100
33.2, 91
33.4, 46
47.3, 74
47.4, 41
59.9, 33

Crystal structure
```
CaFeO3
1.0
5.371 0.000 0.000
0.000 5.503 0.000
-5.214 0.000 7.668
Ca Fe O
4 4 12
direct
0.237 0.049 0.249
0.237 0.451 0.749
0.763 0.549 0.251
0.763 0.951 0.751
0.000 0.000 0.500
0.000 0.500 0.000
0.500 0.000 0.000
0.500 0.500 0.500
0.160 0.211 0.959
0.160 0.289 0.459
0.245 0.699 0.958
0.245 0.801 0.458
0.330 0.015 0.755
0.330 0.485 0.255
0.670 0.515 0.745
0.670 0.985 0.245
0.755 0.199 0.542
0.755 0.301 0.042
0.840 0.711 0.541
0.840 0.789 0.041
```

---

Starting from a structure optimized by DFT (GGA+U), the X-ray powder pattern of CaFe4O9 was computed for Cu Kα, 1.54184 Å.

Top 8 peaks for 2θ = 10–90°, by angle:
2theta, intensity
16.3, 62
22.2, 16
29.0, 100
33.9, 43
41.0, 28
48.7, 29
51.7, 19
57.7, 20

Crystal structure
```
CaFe4O9
1.0
8.364 0.000 0.000
0.000 8.364 0.000
0.000 0.000 5.438
Ca Fe O
2 8 18
direct
0.250 0.250 0.168
0.750 0.750 0.832
0.036 0.842 0.376
0.158 0.536 0.624
0.342 0.964 0.624
0.464 0.658 0.376
0.536 0.342 0.624
0.658 0.036 0.376
0.842 0.464 0.376
0.964 0.158 0.624
0.020 0.174 0.944
0.044 0.355 0.465
0.145 0.044 0.465
0.174 0.480 0.944
0.250 0.750 0.500
0.326 0.020 0.944
0.355 0.456 0.465
0.456 0.145 0.465
0.480 0.326 0.944
0.520 0.674 0.056
0.544 0.855 0.535
0.645 0.544 0.535
0.674 0.980 0.056
0.750 0.250 0.500
0.826 0.520 0.056
0.855 0.956 0.535
0.956 0.645 0.535
0.980 0.826 0.056
```

---

Starting from a structure optimized by DFT (GGA+U), the X-ray powder pattern of CaFe2O4 was computed for Cu Kα, 1.54184 Å.

Top 8 peaks for 2θ = 10–90°, by angle:
2theta, intensity
15.5, 42
30.6, 52
31.3, 100
34.7, 47
34.9, 59
40.8, 48
48.5, 48
51.5, 36

Crystal structure
```
CaFe2O4
1.0
6.991 -1.559 0.000
6.991 1.559 0.000
-5.441 0.000 7.710
Ca Fe O
2 4 8
direct
0.155 0.155 0.171
0.845 0.845 0.829
0.130 0.130 0.818
0.363 0.363 0.531
0.637 0.637 0.469
0.870 0.870 0.182
0.044 0.044 0.307
0.261 0.261 0.619
0.343 0.343 0.008
0.366 0.366 0.314
0.634 0.634 0.686
0.657 0.657 0.992
0.739 0.739 0.381
0.956 0.956 0.693
```